[1]
Theoretical powder diffractogram of PrPb2 for copper Kα, from a PBE-relaxed structure.
Peak positions follow from Bragg's law for the DFT cell and can differ from measured ones.

Crystal structure
```
data_PrPb2
_space_group_name_H-M_alt 'P 1'
_space_group_IT_number 1
_cell_length_a 3.373
_cell_length_b 3.373
_cell_length_c 17.409
_cell_angle_alpha 90.00
_cell_angle_beta 90.00
_cell_angle_gamma 90.00
loop_
_space_group_symop_operation_xyz
'x,y,z'
loop_
_atom_site_label
_atom_site_type_symbol
_atom_site_fract_x
_atom_site_fract_y
_atom_site_fract_z
_atom_site_occupancy
Pr1 Pr 0.000 0.000 0.000 1
Pr2 Pr 0.500 0.500 0.500 1
Pb1 Pb 0.000 0.000 0.346 1
Pb2 Pb 0.000 0.000 0.654 1
Pb3 Pb 0.500 0.500 0.154 1
Pb4 Pb 0.500 0.500 0.846 1
```

Most intense lines, 15° ≤ 2θ ≤ 90°, low angle first:
2θ = 20.41°, I = 6
2θ = 30.66°, I = 100
2θ = 30.82°, I = 22
2θ = 37.71°, I = 30
2θ = 45.30°, I = 6
2θ = 49.47°, I = 24
2θ = 54.40°, I = 11
2θ = 54.70°, I = 14
2θ = 63.77°, I = 37
2θ = 76.92°, I = 4
2θ = 80.79°, I = 10
2θ = 88.63°, I = 11



[2]
Theoretical powder diffractogram of HoTlS2 for copper Kα, from a PBE-relaxed structure.
Peak positions follow from Bragg's law for the DFT cell and can differ from measured ones.

Crystal structure
```
data_HoTlS2
_space_group_name_H-M_alt 'P 1'
_space_group_IT_number 1
_cell_length_a 4.011
_cell_length_b 4.011
_cell_length_c 22.632
_cell_angle_alpha 90.00
_cell_angle_beta 90.00
_cell_angle_gamma 120.00
loop_
_space_group_symop_operation_xyz
'x,y,z'
loop_
_atom_site_label
_atom_site_type_symbol
_atom_site_fract_x
_atom_site_fract_y
_atom_site_fract_z
_atom_site_occupancy
Ho1 Ho 0.000 0.000 0.000 1
Ho2 Ho 0.333 0.667 0.667 1
Ho3 Ho 0.667 0.333 0.333 1
Tl1 Tl 0.000 0.000 0.500 1
Tl2 Tl 0.333 0.667 0.167 1
Tl3 Tl 0.667 0.333 0.833 1
S1 S 0.000 0.000 0.268 1
S2 S 0.000 0.000 0.732 1
S3 S 0.333 0.667 0.399 1
S4 S 0.333 0.667 0.934 1
S5 S 0.667 0.333 0.066 1
S6 S 0.667 0.333 0.601 1
```

Most intense lines, 15° ≤ 2θ ≤ 90°, low angle first:
2θ = 23.59°, I = 32
2θ = 26.85°, I = 65
2θ = 30.19°, I = 100
2θ = 41.15°, I = 39
2θ = 45.22°, I = 34
2θ = 47.98°, I = 18
2θ = 51.62°, I = 25
2θ = 55.33°, I = 18
2θ = 62.78°, I = 11
2θ = 68.27°, I = 16
2θ = 74.14°, I = 15
2θ = 80.68°, I = 11



[3]
Theoretical powder diffractogram of K2PdS8O26 for copper Kα, from a PBE-relaxed structure.
Peak positions follow from Bragg's law for the DFT cell and can differ from measured ones.

Crystal structure
```
data_K2PdS8O26
_space_group_name_H-M_alt 'P 1'
_space_group_IT_number 1
_cell_length_a 7.585
_cell_length_b 8.947
_cell_length_c 9.306
_cell_angle_alpha 73.10
_cell_angle_beta 89.10
_cell_angle_gamma 72.06
loop_
_space_group_symop_operation_xyz
'x,y,z'
loop_
_atom_site_label
_atom_site_type_symbol
_atom_site_fract_x
_atom_site_fract_y
_atom_site_fract_z
_atom_site_occupancy
K1 K 0.129 0.233 0.380 1
K2 K 0.871 0.767 0.620 1
Pd1 Pd 0.500 0.000 0.000 1
S1 S 0.133 0.689 0.013 1
S2 S 0.219 0.735 0.301 1
S3 S 0.333 0.859 0.783 1
S4 S 0.375 0.346 0.726 1
S5 S 0.625 0.654 0.274 1
S6 S 0.667 0.141 0.217 1
S7 S 0.781 0.265 0.699 1
S8 S 0.867 0.311 0.987 1
O1 O 0.034 0.213 0.080 1
O2 O 0.095 0.650 0.375 1
O3 O 0.156 0.802 0.119 1
O4 O 0.163 0.524 0.105 1
O5 O 0.183 0.906 0.669 1
O6 O 0.230 0.880 0.330 1
O7 O 0.252 0.510 0.704 1
O8 O 0.300 0.983 0.868 1
O9 O 0.311 0.686 0.921 1
O10 O 0.361 0.258 0.622 1
O11 O 0.413 0.250 0.889 1
O12 O 0.414 0.603 0.314 1
O13 O 0.479 0.206 0.251 1
O14 O 0.521 0.794 0.749 1
O15 O 0.586 0.397 0.686 1
O16 O 0.587 0.750 0.111 1
O17 O 0.639 0.742 0.378 1
O18 O 0.689 0.314 0.079 1
O19 O 0.700 0.017 0.132 1
O20 O 0.748 0.490 0.296 1
O21 O 0.770 0.120 0.670 1
O22 O 0.817 0.094 0.331 1
O23 O 0.837 0.476 0.895 1
O24 O 0.844 0.198 0.881 1
O25 O 0.905 0.350 0.625 1
O26 O 0.966 0.787 0.920 1
```

Most intense lines, 15° ≤ 2θ ≤ 90°, low angle first:
2θ = 18.90°, I = 49
2θ = 19.28°, I = 73
2θ = 21.90°, I = 21
2θ = 25.31°, I = 76
2θ = 25.98°, I = 100
2θ = 26.14°, I = 32
2θ = 26.24°, I = 21
2θ = 26.75°, I = 33
2θ = 30.21°, I = 32
2θ = 32.30°, I = 29
2θ = 35.74°, I = 18
2θ = 37.69°, I = 18



[4]
Theoretical powder diffractogram of AsS for copper Kα, from a PBE-relaxed structure.
Peak positions follow from Bragg's law for the DFT cell and can differ from measured ones.

Crystal structure
```
data_AsS
_space_group_name_H-M_alt 'P 1'
_space_group_IT_number 1
_cell_length_a 10.483
_cell_length_b 10.142
_cell_length_c 8.958
_cell_angle_alpha 90.00
_cell_angle_beta 97.78
_cell_angle_gamma 90.00
loop_
_space_group_symop_operation_xyz
'x,y,z'
loop_
_atom_site_label
_atom_site_type_symbol
_atom_site_fract_x
_atom_site_fract_y
_atom_site_fract_z
_atom_site_occupancy
As1 As 0.088 0.044 0.319 1
As2 As 0.088 0.456 0.819 1
As3 As 0.152 0.651 0.667 1
As4 As 0.152 0.849 0.167 1
As5 As 0.315 0.131 0.048 1
As6 As 0.315 0.369 0.548 1
As7 As 0.366 0.634 0.839 1
As8 As 0.366 0.866 0.339 1
As9 As 0.634 0.134 0.661 1
As10 As 0.634 0.366 0.161 1
As11 As 0.685 0.631 0.452 1
As12 As 0.685 0.869 0.952 1
As13 As 0.848 0.151 0.833 1
As14 As 0.848 0.349 0.333 1
As15 As 0.912 0.544 0.181 1
As16 As 0.912 0.956 0.681 1
S1 S 0.170 0.212 0.193 1
S2 S 0.170 0.288 0.693 1
S3 S 0.198 0.552 0.460 1
S4 S 0.198 0.948 0.960 1
S5 S 0.251 0.524 0.001 1
S6 S 0.251 0.976 0.501 1
S7 S 0.463 0.024 0.215 1
S8 S 0.463 0.476 0.715 1
S9 S 0.537 0.524 0.285 1
S10 S 0.537 0.976 0.785 1
S11 S 0.749 0.024 0.499 1
S12 S 0.749 0.476 0.999 1
S13 S 0.802 0.052 0.040 1
S14 S 0.802 0.448 0.540 1
S15 S 0.830 0.712 0.307 1
S16 S 0.830 0.788 0.807 1
```

Most intense lines, 15° ≤ 2θ ≤ 90°, low angle first:
2θ = 15.02°, I = 87
2θ = 16.49°, I = 100
2θ = 17.07°, I = 29
2θ = 22.47°, I = 62
2θ = 25.63°, I = 64
2θ = 27.42°, I = 27
2θ = 28.20°, I = 38
2θ = 29.15°, I = 30
2θ = 30.29°, I = 88
2θ = 37.36°, I = 26
2θ = 42.38°, I = 29
2θ = 50.34°, I = 30



[5]
Theoretical powder diffractogram of SiO2 for copper Kα, from a PBE-relaxed structure.
Peak positions follow from Bragg's law for the DFT cell and can differ from measured ones.

Crystal structure
```
data_SiO2
_space_group_name_H-M_alt 'P 1'
_space_group_IT_number 1
_cell_length_a 8.379
_cell_length_b 5.128
_cell_length_c 5.128
_cell_angle_alpha 120.82
_cell_angle_beta 90.00
_cell_angle_gamma 90.00
loop_
_space_group_symop_operation_xyz
'x,y,z'
loop_
_atom_site_label
_atom_site_type_symbol
_atom_site_fract_x
_atom_site_fract_y
_atom_site_fract_z
_atom_site_occupancy
Si1 Si 0.063 0.165 0.835 1
Si2 Si 0.437 0.165 0.835 1
Si3 Si 0.563 0.835 0.165 1
Si4 Si 0.937 0.835 0.165 1
O1 O 0.000 0.089 0.089 1
O2 O 0.041 0.526 0.967 1
O3 O 0.250 0.078 0.758 1
O4 O 0.459 0.526 0.967 1
O5 O 0.500 0.089 0.089 1
O6 O 0.541 0.967 0.526 1
O7 O 0.750 0.758 0.078 1
O8 O 0.959 0.967 0.526 1
```

Most intense lines, 15° ≤ 2θ ≤ 90°, low angle first:
2θ = 19.91°, I = 48
2θ = 20.16°, I = 100
2θ = 21.21°, I = 82
2θ = 22.59°, I = 28
2θ = 22.81°, I = 55
2θ = 29.43°, I = 21
2θ = 35.00°, I = 36
2θ = 38.16°, I = 25
2θ = 42.44°, I = 9
2θ = 52.95°, I = 11
2θ = 58.97°, I = 12
2θ = 77.92°, I = 11



[6]
Theoretical powder diffractogram of Li2MnBr4 for copper Kα, from a PBE-relaxed structure.
Peak positions follow from Bragg's law for the DFT cell and can differ from measured ones.

Crystal structure
```
data_Li2MnBr4
_space_group_name_H-M_alt 'P 1'
_space_group_IT_number 1
_cell_length_a 5.520
_cell_length_b 5.520
_cell_length_c 10.977
_cell_angle_alpha 90.00
_cell_angle_beta 90.00
_cell_angle_gamma 90.00
loop_
_space_group_symop_operation_xyz
'x,y,z'
loop_
_atom_site_label
_atom_site_type_symbol
_atom_site_fract_x
_atom_site_fract_y
_atom_site_fract_z
_atom_site_occupancy
Li1 Li 0.000 0.500 0.250 1
Li2 Li 0.000 0.500 0.750 1
Li3 Li 0.500 0.000 0.250 1
Li4 Li 0.500 0.000 0.750 1
Mn1 Mn 0.000 0.000 0.000 1
Mn2 Mn 0.500 0.500 0.500 1
Br1 Br 0.000 0.000 0.237 1
Br2 Br 0.000 0.000 0.763 1
Br3 Br 0.000 0.500 0.000 1
Br4 Br 0.000 0.500 0.500 1
Br5 Br 0.500 0.000 0.000 1
Br6 Br 0.500 0.000 0.500 1
Br7 Br 0.500 0.500 0.263 1
Br8 Br 0.500 0.500 0.737 1
```

Most intense lines, 15° ≤ 2θ ≤ 90°, low angle first:
2θ = 17.99°, I = 22
2θ = 28.05°, I = 100
2θ = 32.44°, I = 79
2θ = 32.63°, I = 37
2θ = 46.53°, I = 28
2θ = 46.67°, I = 53
2θ = 55.22°, I = 29
2θ = 55.47°, I = 13
2θ = 57.99°, I = 27
2θ = 77.30°, I = 12
2θ = 77.40°, I = 12
2θ = 86.44°, I = 18



[7]
Theoretical powder diffractogram of BaSrI4 for copper Kα, from a PBE-relaxed structure.
Peak positions follow from Bragg's law for the DFT cell and can differ from measured ones.

Crystal structure
```
data_BaSrI4
_space_group_name_H-M_alt 'P 1'
_space_group_IT_number 1
_cell_length_a 6.082
_cell_length_b 20.979
_cell_length_c 10.098
_cell_angle_alpha 90.00
_cell_angle_beta 90.02
_cell_angle_gamma 90.00
loop_
_space_group_symop_operation_xyz
'x,y,z'
loop_
_atom_site_label
_atom_site_type_symbol
_atom_site_fract_x
_atom_site_fract_y
_atom_site_fract_z
_atom_site_occupancy
Ba1 Ba 0.185 0.135 0.245 1
Ba2 Ba 0.185 0.365 0.745 1
Ba3 Ba 0.815 0.635 0.255 1
Ba4 Ba 0.815 0.865 0.755 1
Sr1 Sr 0.295 0.654 0.745 1
Sr2 Sr 0.295 0.846 0.245 1
Sr3 Sr 0.705 0.154 0.755 1
Sr4 Sr 0.705 0.346 0.255 1
I1 I 0.205 0.198 0.718 1
I2 I 0.205 0.302 0.218 1
I3 I 0.255 0.513 0.852 1
I4 I 0.255 0.987 0.352 1
I5 I 0.301 0.695 0.083 1
I6 I 0.301 0.805 0.583 1
I7 I 0.308 0.602 0.440 1
I8 I 0.308 0.898 0.940 1
I9 I 0.692 0.102 0.060 1
I10 I 0.692 0.398 0.560 1
I11 I 0.699 0.195 0.417 1
I12 I 0.699 0.305 0.917 1
I13 I 0.745 0.013 0.648 1
I14 I 0.745 0.487 0.148 1
I15 I 0.795 0.698 0.782 1
I16 I 0.795 0.802 0.282 1
```

Most intense lines, 15° ≤ 2θ ≤ 90°, low angle first:
2θ = 17.55°, I = 96
2θ = 22.95°, I = 96
2θ = 23.29°, I = 87
2θ = 24.44°, I = 100
2θ = 29.37°, I = 79
2θ = 29.68°, I = 38
2θ = 30.65°, I = 27
2θ = 30.80°, I = 31
2θ = 33.00°, I = 51
2θ = 34.53°, I = 97
2θ = 37.60°, I = 37
2θ = 53.50°, I = 27